Record 1
This entry pairs a crystal structure of Dy4BClO7 with its calculated powder XRD pattern. Radiation: Cu Kα, 1.54184 Å. Structure: DFT lattice parameters and positions (PBE).
Lines closer than 0.1° are merged.

```
Dy4BClO7
1.0
8.663 0.000 0.000
0.000 8.072 0.000
-6.229 0.000 10.656
Dy B Cl O
16 4 4 28
Cartesian
-1.998 1.113 4.468
-5.113 2.923 9.796
-1.886 4.984 4.374
-5.001 7.124 9.702
-2.275 1.020 8.307
0.840 3.016 2.979
-2.106 4.962 8.302
1.009 7.146 2.974
1.425 0.926 7.682
4.539 3.110 2.354
1.594 5.056 7.677
4.709 7.053 2.349
7.434 0.948 0.954
4.320 3.088 6.282
7.547 5.149 0.860
4.432 6.959 6.188
2.663 1.042 0.927
-0.452 2.994 6.255
2.886 5.078 4.401
-0.229 7.030 9.729
3.105 5.207 0.348
-0.010 6.901 5.676
2.443 1.171 4.980
-0.671 2.865 10.308
-3.355 0.987 6.362
-0.241 3.049 1.034
-3.080 5.024 6.315
0.035 7.084 0.987
-0.216 0.945 3.001
-3.330 3.091 8.328
-0.059 5.142 2.939
-3.174 6.967 8.267
-3.577 0.901 10.202
-0.462 3.135 4.874
-0.603 1.732 6.782
2.511 2.304 1.454
-0.379 4.102 7.067
2.736 8.007 1.739
-0.302 0.066 8.917
2.813 3.971 3.589
-0.077 5.768 9.202
3.037 6.340 3.874
2.896 4.937 5.782
6.011 7.171 0.454
5.608 1.105 2.389
2.493 2.931 7.717
5.764 4.981 2.327
2.649 7.127 7.655
2.399 0.988 9.669
5.514 3.048 4.341
2.674 5.023 9.622
5.789 7.086 4.294
```

Top 6 peaks for 2θ from 10° to 90°, by angle:
2θ/deg	Rel. int.	index
24.44	38	1 2 -1
24.94	40	1 0 2
29.78	62	2 0 -4
30.50	100	2 2 -1
33.61	59	0 2 3
47.14	28	3 2 1



Record 2
This entry pairs a crystal structure of Er4BClO7 with its calculated powder XRD pattern. Radiation: Cu Kα, 1.54184 Å. Structure: DFT lattice parameters and positions (PBE).
Lines closer than 0.1° are merged.

```
Er4BClO7
1.0
8.547 0.000 0.000
0.000 8.008 0.000
-6.050 0.000 10.588
Er B Cl O
16 4 4 28
Cartesian
-1.940 1.110 4.436
-4.965 2.894 9.730
-1.829 4.948 4.329
-4.853 7.064 9.623
-2.167 1.001 8.248
0.858 3.003 2.954
-1.997 4.920 8.253
1.028 7.092 2.959
1.469 0.916 7.629
4.494 3.088 2.335
1.640 5.005 7.634
4.665 7.007 2.340
7.351 0.944 0.965
4.326 3.060 6.259
7.463 5.114 0.858
4.438 6.899 6.152
2.630 1.051 0.907
-0.395 2.953 6.201
2.893 5.055 4.387
-0.132 6.957 9.681
3.068 5.204 0.339
0.043 6.808 5.633
2.455 1.200 4.955
-0.570 2.804 10.250
-3.262 0.980 6.329
-0.237 3.024 1.035
-2.950 4.977 6.282
0.075 7.035 0.988
-0.175 0.942 3.000
-3.200 3.062 8.294
-0.027 5.100 2.913
-3.051 6.912 8.207
-3.448 0.882 10.122
-0.423 3.122 4.828
-0.542 1.676 6.704
2.483 2.328 1.410
-0.294 4.032 7.048
2.731 7.980 1.754
-0.233 0.028 8.834
2.791 3.976 3.540
0.015 5.680 9.178
3.040 6.332 3.884
2.921 4.886 5.760
5.946 7.126 0.466
5.549 1.096 2.381
2.524 2.908 7.675
5.698 4.946 2.294
2.673 7.066 7.588
2.422 0.973 9.600
5.447 3.031 4.306
2.735 4.984 9.553
5.760 7.028 4.259
```

Top 6 peaks for 2θ from 10° to 90°, by angle:
2θ/deg	Rel. int.	index
11.93	29	1 0 0
24.68	39	1 2 -1
25.04	41	1 0 2
30.22	62	2 0 -4
30.80	100	2 2 -1
33.86	60	0 2 3